Calculated PXRD pattern of ErLu2Cu4Ge4 for Cu Kα, from a structure optimized by DFT (PBE).
Neutral-atom scattering factors, no anomalous dispersion.

Crystal structure
```
ErLu2Cu4Ge4
1.0
-2.0678 3.3158 6.8808
2.0678 -3.3158 6.8808
2.0678 3.3158 -6.8808
Er Lu Cu Ge
1 2 4 4
Direct
0.0000 0.0000 0.0000
0.3708 0.8708 0.5000
0.6292 0.1292 0.5000
0.0221 0.3301 0.6920
0.3619 0.6699 0.6920
0.6381 0.3301 0.3080
0.9779 0.6699 0.3080
0.2169 0.2169 0.0000
0.3083 0.5000 0.8083
0.6917 0.5000 0.1917
0.7831 0.7831 0.0000
```

Peak list (12 most intense, 2θ from 5° to 70°, in order of rising 2θ)
two_theta  d (Å)  I (rel.)
23.58  3.773  9
26.89  3.316  11
35.30  2.542  100
36.58  2.457  83
39.29  2.293  16
40.01  2.253  10
43.78  2.068  30
45.55  1.991  23
48.28  1.885  11
57.45  1.604  12
59.02  1.565  10
65.02  1.434  21